Diffraction record for Sr11Ge2N10. The X-ray diffraction stick pattern is simulated, not measured: it uses a structure optimized by DFT (GGA-PBE) and copper Kα.
Intensities are scaled so that the largest is 100.

Structural model:
```
46
Lattice="16.277 0.000 0.000 0.000 16.277 0.000 0.000 0.000 3.903" Properties=species:S:1:pos:R:3 pbc="T T T"
Sr 0.000 0.000 0.000
Sr 0.104 3.621 1.951
Sr 1.728 10.105 0.000
Sr 1.966 6.411 1.951
Sr 3.377 3.377 0.000
Sr 3.621 0.104 1.951
Sr 4.517 8.242 0.000
Sr 4.761 11.515 1.951
Sr 6.172 14.549 0.000
Sr 6.411 1.966 1.951
Sr 8.035 11.760 0.000
Sr 8.138 8.138 1.951
Sr 8.242 4.517 0.000
Sr 9.866 14.311 1.951
Sr 10.105 1.728 0.000
Sr 11.515 4.761 1.951
Sr 11.760 8.035 0.000
Sr 12.656 16.173 1.951
Sr 12.900 12.900 0.000
Sr 14.311 9.866 1.951
Sr 14.549 6.172 0.000
Sr 16.173 12.656 1.951
Ge 2.396 13.880 0.000
Ge 5.742 5.742 1.951
Ge 10.535 10.535 1.951
Ge 13.880 2.396 0.000
N 0.750 5.246 0.000
N 1.217 1.217 1.951
N 2.129 2.129 1.951
N 2.893 8.888 1.951
N 3.663 12.614 0.000
N 4.475 4.475 1.951
N 5.246 0.750 0.000
N 6.009 10.268 0.000
N 6.922 9.355 0.000
N 7.389 13.384 1.951
N 8.888 2.893 1.951
N 9.355 6.922 0.000
N 10.268 6.009 0.000
N 11.031 15.527 0.000
N 11.802 11.802 1.951
N 12.614 3.663 0.000
N 13.384 7.389 1.951
N 14.148 14.148 1.951
N 15.060 15.060 1.951
N 15.527 11.031 0.000
```

Principal peaks in the range 2θ from 15° to 90°, in order of rising 2θ:
2θ/deg  d/Å  I_rel
27.95  3.192  49
28.71  3.110  50
30.27  2.952  100
31.08  2.877  61
40.89  2.207  16
46.52  1.952  29
46.83  1.940  30
57.02  1.615  21
58.37  1.581  18
77.74  1.228  16